No. 1
Calculated powder X-ray diffraction pattern
Compound: Li4TbOsO6
Radiation: Cu Kα (λ = 1.5418 Å)
Structure: the GGA-PBE geometry in OQMD
Kinematic intensities with the Lorentz-polarization factor, no thermal factor.

Structure:
Cell lengths 5.338, 9.309, 5.219 Å; angles 90.00, 109.31, 90.00 degrees
Space group C2 (No. 5)
Unique sites:
Li 0.000 0.000 0.000 x2
Li 0.000 0.148 0.500 x2
Li 0.000 0.316 0.000 x2
Li 0.000 0.624 0.000 x2
Tb 0.000 0.814 0.500 x2
Os 0.000 0.482 0.500 x2
O 0.221 0.330 0.742 x4
O 0.229 0.487 0.265 x4
O 0.236 0.632 0.743 x4

Peak list (6 most intense, 2θ = 10–80°, in order of rising 2θ)
2θ 18.0, d 4.925, I 100, hkl 0 0 1; 2θ 20.0, d 4.431, I 41, hkl 1 1 0; 2θ 22.8, d 3.907, I 30, hkl 1 1 -1; 2θ 33.9, d 2.642, I 40, hkl 1 3 0; 2θ 35.7, d 2.518, I 34, hkl 2 0 0; 2θ 41.5, d 2.176, I 49, hkl 1 3 1



No. 2
Calculated powder X-ray diffraction pattern
Compound: Sr2Al4IrAu
Radiation: Cu Kα (λ = 1.5418 Å)
Structure: the GGA-PBE geometry in OQMD
Kinematic intensities with the Lorentz-polarization factor, no thermal factor.

Structure:
Cell lengths 7.453, 4.249, 11.486 Å; angles 90.00, 90.00, 90.00 degrees
Space group Amm2 (No. 38)
Unique sites:
Sr 0.000 0.000 0.000 x2
Sr 0.500 0.000 0.101 x2
Al 0.181 0.000 0.726 x4
Al 0.299 0.000 0.374 x4
Ir 0.000 0.000 0.268 x2
Au 0.500 0.000 0.826 x2

Peak list (6 most intense, 2θ = 10–80°, in order of rising 2θ)
2θ 15.4, d 5.743, I 60, hkl 0 0 2; 2θ 23.9, d 3.726, I 63, hkl 2 0 0; 2θ 25.3, d 3.514, I 78, hkl 1 1 1; 2θ 33.4, d 2.680, I 50, hkl 1 0 4; 2θ 33.7, d 2.657, I 100, hkl 1 1 3; 2θ 42.9, d 2.108, I 40, hkl 3 1 1



No. 3
Calculated powder X-ray diffraction pattern
Compound: NaAlZnP2O8
Radiation: Cu Kα (λ = 1.5418 Å)
Structure: the GGA-PBE geometry in OQMD
Kinematic intensities with the Lorentz-polarization factor, no thermal factor.

Structure:
Cell lengths 8.104, 8.759, 9.449 Å; angles 90.86, 93.85, 95.90 degrees
Space group P-1 (No. 2)
Unique sites:
Na 0.178 0.423 0.364 x2
Na 0.305 0.071 0.033 x2
Al 0.131 0.439 0.806 x2
Al 0.442 0.759 0.539 x2
Zn 0.004 0.966 0.696 x2
Zn 0.378 0.719 0.067 x2
P 0.014 0.744 0.941 x2
P 0.087 0.747 0.442 x2
P 0.395 0.075 0.709 x2
P 0.486 0.430 0.202 x2
O 0.014 0.210 0.435 x2
O 0.024 0.383 0.644 x2
O 0.033 0.603 0.843 x2
O 0.084 0.143 0.144 x2
O 0.095 0.307 0.938 x2
O 0.149 0.883 0.354 x2
O 0.185 0.818 0.996 x2
O 0.215 0.083 0.745 x2
O 0.242 0.664 0.495 x2
O 0.342 0.475 0.790 x2
O 0.346 0.534 0.172 x2
O 0.418 0.922 0.636 x2
O 0.445 0.208 0.608 x2
O 0.452 0.366 0.353 x2
O 0.481 0.297 0.095 x2
O 0.494 0.909 0.152 x2

Peak list (6 most intense, 2θ = 10–80°, in order of rising 2θ)
2θ 22.1, d 4.021, I 58, hkl 2 0 0; 2θ 23.2, d 3.831, I 29, hkl -1 1 2; 2θ 24.0, d 3.702, I 31, hkl -1 2 1; 2θ 27.6, d 3.234, I 42, hkl 0 2 -2; 2θ 27.7, d 3.221, I 51, hkl 2 1 1; 2θ 28.2, d 3.165, I 100, hkl 0 2 2



No. 4
Calculated powder X-ray diffraction pattern
Compound: TmSb2Br2O3
Radiation: Cu Kα (λ = 1.5418 Å)
Structure: the GGA-PBE geometry in OQMD
Kinematic intensities with the Lorentz-polarization factor, no thermal factor.

Structure:
Cell lengths 5.686, 7.766, 8.261 Å; angles 88.53, 83.41, 79.39 degrees
Space group P-1 (No. 2)
Unique sites:
Tm 0.019 0.475 0.287 x2
Sb 0.376 0.741 0.527 x2
Sb 0.415 0.711 0.971 x2
Br 0.162 0.189 0.800 x2
Br 0.262 0.120 0.261 x2
O 0.239 0.526 0.476 x2
O 0.283 0.654 0.765 x2
O 0.293 0.488 0.077 x2

Peak list (6 most intense, 2θ = 10–80°, in order of rising 2θ)
2θ 11.6, d 7.633, I 80, hkl 0 1 0; 2θ 25.5, d 3.492, I 49, hkl 1 0 2; 2θ 26.8, d 3.329, I 100, hkl 1 1 2; 2θ 28.5, d 3.136, I 65, hkl 1 0 -2; 2θ 30.8, d 2.907, I 77, hkl 1 -2 0; 2θ 32.2, d 2.777, I 74, hkl 2 1 0



No. 5
Calculated powder X-ray diffraction pattern
Compound: NdGd2In3Pd3
Radiation: Cu Kα (λ = 1.5418 Å)
Structure: the GGA-PBE geometry in OQMD
Kinematic intensities with the Lorentz-polarization factor, no thermal factor.

Structure:
Cell lengths 3.973, 13.353, 7.700 Å; angles 90.00, 90.00, 90.00 degrees
Space group Amm2 (No. 38)
Unique sites:
Nd 0.000 0.000 0.000 x2
Gd 0.000 0.205 0.384 x4
In 0.500 0.000 0.336 x2
In 0.500 0.129 0.715 x4
Pd 0.000 0.000 0.588 x2
Pd 0.500 0.169 0.090 x4

Peak list (6 most intense, 2θ = 10–80°, in order of rising 2θ)
2θ 32.4, d 2.766, I 100, hkl 1 0 2; 2θ 35.1, d 2.555, I 95, hkl 1 2 2; 2θ 35.6, d 2.522, I 51, hkl 0 5 1; 2θ 40.6, d 2.224, I 35, hkl 0 6 0; 2θ 45.7, d 1.986, I 25, hkl 2 0 0; 2θ 65.3, d 1.428, I 32, hkl 1 8 2



No. 6
Calculated powder X-ray diffraction pattern
Compound: SrLi3WN3
Radiation: Cu Kα (λ = 1.5418 Å)
Structure: the GGA-PBE geometry in OQMD
Kinematic intensities with the Lorentz-polarization factor, no thermal factor.

Structure:
Cell lengths 5.9236, 5.9236, 19.9983 Å; angles 90.00, 90.00, 120.00 degrees
Space group R-3 (No. 148, hexagonal axes)
Unique sites:
Sr 0.0000 0.0000 0.1616 x6
Li 0.0257 0.3991 0.3675 x18
W 0.0000 0.0000 0.4344 x6
N 0.0046 0.3066 0.5950 x18

Peak list (6 most intense, 2θ = 10–80°, in order of rising 2θ)
2θ 13.3, d 6.666, I 59, hkl 0 0 3; 2θ 17.9, d 4.969, I 90, hkl 1 0 1; 2θ 19.4, d 4.564, I 35, hkl 0 1 2; 2θ 30.2, d 2.962, I 100, hkl 1 1 0; 2θ 33.1, d 2.707, I 68, hkl 2 -1 3; 2θ 36.0, d 2.496, I 62, hkl 1 0 7